This entry pairs a crystal structure of PaPdS3 with its theoretical X-ray diffraction stick pattern. Radiation: Cu Kα (λ = 1.5418 Å). Structure: a cell relaxed with PBE.
Neutral-atom scattering factors, no anomalous dispersion.

Peak list (8 most intense, 10° ≤ 2θ ≤ 90°, by angle)
2theta	I/Imax
13.79	40.2
20.44	98.7
26.37	51.6
33.05	100.0
34.75	42.8
39.64	41.5
44.57	44.0
47.50	33.8

Cell and atoms:
Lattice parameters (Å, degrees): 3.8277 12.8390 8.6912 90.00 90.00 90.00
Space group Cmcm (No. 63)
Symmetry-distinct sites (fractional):
Pa: 0.0000 0.2344 0.2500
Pd: 0.0000 0.0254 0.7500
S: 0.0000 0.1672 0.5736
S: 0.0000 0.4124 0.7500